For CaZr2TaO8, a cell relaxed with PBE gives the simulated powder diffraction line list in this record (λ = 1.5418 Å (Cu Kα)).
Neutral-atom scattering factors, no anomalous dispersion.

Cell lengths 6.922, 7.068, 6.680 Å; angles 90.00, 90.00, 90.00 degrees
Space group Cmmm (No. 65)
Inequivalent atoms, fractional coordinates:
Ca (0.000, 0.000, 0.000) x2
Zr (0.000, 0.500, 0.242) x4
Ta (0.000, 0.000, 0.500) x2
O (0.000, 0.291, 0.500) x4
O (0.000, 0.319, 0.000) x4
O (0.200, 0.000, 0.287) x8

Peak list (10 most intense, 2θ from 10° to 80°, sorted by position)
- 13.3 deg, intensity 30, (0 0 1)
- 22.4 deg, intensity 46, (1 1 1)
- 25.2 deg, intensity 65, (0 2 0)
- 25.7 deg, intensity 61, (2 0 0)
- 32.3 deg, intensity 100, (1 1 2)
- 36.3 deg, intensity 25, (2 2 0)
- 49.1 deg, intensity 44, (1 3 2)
- 49.7 deg, intensity 41, (3 1 2)
- 51.7 deg, intensity 11, (0 4 0)
- 62.9 deg, intensity 26, (3 3 2)

For CaTb2TiO6, a cell relaxed with PBE gives the simulated powder diffraction line list in this record (λ = 1.5418 Å (Cu Kα)).
Neutral-atom scattering factors, no anomalous dispersion.

Cell lengths 5.336, 5.336, 5.243 Å; angles 90.00, 90.00, 90.00 degrees
Space group P4mm (No. 99)
Inequivalent atoms, fractional coordinates:
Ca (0.000, 0.000, 0.000) x1
Tb (0.000, 0.500, 0.425) x2
Ti (0.500, 0.500, 0.047) x1
O (0.000, 0.000, 0.583) x1
O (0.266, 0.266, 0.189) x4
O (0.500, 0.500, 0.697) x1

Peak list (10 most intense, 2θ from 10° to 80°, sorted by position)
- 16.9 deg, intensity 47, (0 0 1)
- 23.6 deg, intensity 20, (1 1 0)
- 29.2 deg, intensity 100, (1 1 1)
- 33.6 deg, intensity 33, (2 0 0)
- 37.8 deg, intensity 21, (2 0 1)
- 42.0 deg, intensity 27, (1 1 2)
- 48.2 deg, intensity 20, (2 2 0)
- 48.7 deg, intensity 25, (2 0 2)
- 57.4 deg, intensity 29, (3 1 1)
- 65.8 deg, intensity 14, (3 1 2)